# 1
Diffraction record for Sr2FeMoO6. The PXRD pattern is simulated, not measured: it uses a cell relaxed with GGA+U and Cu Kα (λ = 1.5418 Å).

Main lines, in order of rising 2θ (10° ≤ 2θ ≤ 80°):
two_theta, Rel. int., index
31.45, 53.0, 2 0 0
31.71, 100.0, 1 1 2
45.07, 36.5, 2 2 0
56.16, 40.6, 3 1 2
56.66, 19.6, 2 0 4
66.25, 20.9, 2 2 4

Cell and atoms:
```
data_Sr2FeMoO6
_symmetry_space_group_name_H-M 'I 4/m'
_symmetry_Int_Tables_number 87
_symmetry_space_group_name_Hall '-I 4'
_cell_length_a 5.6891
_cell_length_b 5.6891
_cell_length_c 7.9166
_cell_angle_alpha 90.00
_cell_angle_beta 90.00
_cell_angle_gamma 90.00
loop_
_atom_site_label
_atom_site_type_symbol
_atom_site_fract_x
_atom_site_fract_y
_atom_site_fract_z
Sr1 Sr 0.0000 0.5000 0.2500
Fe1 Fe 0.0000 0.0000 0.0000
Mo1 Mo 0.0000 0.0000 0.5000
O1 O 0.0000 0.0000 0.2565
O2 O 0.2229 0.7246 0.0000
```



# 2
Diffraction record for Sr5Fe4MoO15. The PXRD pattern is simulated, not measured: it uses a cell relaxed with GGA+U and Cu Kα (λ = 1.5418 Å).

Main lines, in order of rising 2θ (10° ≤ 2θ ≤ 80°):
two_theta, Rel. int., index
31.98, 100.0, 2 1 0
45.86, 37.4, 2 0 4
56.94, 15.5, 1 1 8
57.04, 21.8, 3 3 4
66.81, 10.5, 0 2 -8
66.92, 10.7, 4 2 0

Cell and atoms:
```
data_Sr5Fe4MoO15
_symmetry_space_group_name_H-M 'P 1'
_symmetry_Int_Tables_number 1
_symmetry_space_group_name_Hall 'P 1'
_cell_length_a 5.5907
_cell_length_b 8.8506
_cell_length_c 13.7113
_cell_angle_alpha 75.14
_cell_angle_beta 89.98
_cell_angle_gamma 71.60
loop_
_atom_site_label
_atom_site_type_symbol
_atom_site_fract_x
_atom_site_fract_y
_atom_site_fract_z
Sr1 Sr 0.0000 0.0000 0.0000
Sr2 Sr 0.9996 0.0012 0.4997
Sr3 Sr 0.1893 0.6216 0.8983
Sr4 Sr 0.1885 0.6236 0.3973
Sr5 Sr 0.4012 0.1984 0.2942
Sr6 Sr 0.4020 0.1965 0.7940
Sr7 Sr 0.5912 0.8182 0.1932
Sr8 Sr 0.5908 0.8188 0.6930
Sr9 Sr 0.7943 0.4114 0.0955
Sr10 Sr 0.7957 0.4089 0.5949
Fe1 Fe 0.1934 0.6134 0.1415
Fe2 Fe 0.1940 0.6124 0.6414
Fe3 Fe 0.3955 0.2092 0.0499
Fe4 Fe 0.3968 0.2072 0.5513
Fe5 Fe 0.5923 0.8155 0.4476
Fe6 Fe 0.5931 0.8140 0.9483
Fe7 Fe 0.9980 0.0043 0.7446
Fe8 Fe 0.9993 0.0022 0.2464
Mo1 Mo 0.7955 0.4097 0.3452
Mo2 Mo 0.7965 0.4076 0.8456
O1 O 0.0887 0.3123 0.4428
O2 O 0.0903 0.3111 0.9448
O3 O 0.0963 0.8072 0.1963
O4 O 0.1003 0.8004 0.7032
O5 O 0.1940 0.1091 0.6464
O6 O 0.1952 0.1087 0.1457
O7 O 0.2932 0.9132 0.3454
O8 O 0.2972 0.4054 0.0942
O9 O 0.2984 0.4054 0.5923
O10 O 0.3009 0.9084 0.8475
O11 O 0.3965 0.7102 0.5461
O12 O 0.4014 0.7082 0.0423
O13 O 0.4914 0.0184 0.4970
O14 O 0.4917 0.0161 0.9958
O15 O 0.5025 0.5061 0.2476
O16 O 0.5065 0.4983 0.7480
O17 O 0.5994 0.3110 0.9447
O18 O 0.5990 0.3122 0.4427
O19 O 0.6949 0.1090 0.1456
O20 O 0.6974 0.6068 0.3937
O21 O 0.6986 0.1092 0.6464
O22 O 0.6986 0.6043 0.8915
O23 O 0.7917 0.9089 0.8475
O24 O 0.7959 0.9137 0.3453
O25 O 0.8899 0.7085 0.0423
O26 O 0.8927 0.2156 0.2950
O27 O 0.8938 0.7105 0.5459
O28 O 0.8972 0.2068 0.8000
O29 O 0.9918 0.5061 0.2474
O30 O 0.9962 0.4982 0.7479
```